Diffraction record for Sr3LaCo2O8. The XRD peak list is calculated, not measured: it uses DFT lattice parameters and positions (PBE+U) and λ = 1.5418 Å (Cu Kα).
Lines closer than 0.1° are merged.

Principal peaks in the range 2θ from 10° to 90°, by angle:
2θ = 24.4°, d 3.654, I = 9.8; 2θ = 31.6°, d 2.835, I = 100.0; 2θ = 33.1°, d 2.710, I = 34.6; 2θ = 33.4°, d 2.685, I = 33.7; 2θ = 42.7°, d 2.117, I = 28.7; 2θ = 43.9°, d 2.062, I = 12.7; 2θ = 44.2°, d 2.051, I = 12.5; 2θ = 47.7°, d 1.907, I = 36.5; 2θ = 55.2°, d 1.663, I = 8.3; 2θ = 58.1°, d 1.588, I = 21.9; 2θ = 58.5°, d 1.578, I = 17.6; 2θ = 65.9°, d 1.417, I = 14.8

Structure:
Cell lengths 5.371, 6.907, 6.907 Å; angles 46.19, 90.00, 90.00 degrees
Element x y z (fractional)
Sr 0.000 0.000 0.000
Sr 0.000 0.288 0.288
Sr 0.500 0.790 0.790
La 0.500 0.503 0.503
Co 0.000 0.647 0.647
Co 0.500 0.148 0.148
O 0.000 0.486 0.486
O 0.000 0.801 0.801
O 0.249 0.400 0.884
O 0.249 0.884 0.400
O 0.500 0.318 0.318
O 0.500 0.983 0.983
O 0.751 0.400 0.884
O 0.751 0.884 0.400